Entry 1:
The following is a simulated powder X-ray diffraction pattern of MnAl3Fe7. It was derived from the GGA-PBE geometry in Alexandria, using a wavelength of 1.5418 Å.

Crystal structure
Cell: 2.552 19.922 10.828 Å, 90.00 90.00 90.00°
Space group Cmcm (No. 63)
Symmetry-distinct sites (fractional):
Mn (0.000, 0.018, 0.250) [4 per cell]
Al (0.000, 0.153, 0.010) [8 per cell]
Al (0.000, 0.159, 0.750) [4 per cell]
Fe (0.000, 0.255, 0.128) [8 per cell]
Fe (0.000, 0.354, 0.750) [4 per cell]
Fe (0.000, 0.431, 0.135) [8 per cell]
Fe (0.000, 0.450, 0.575) [8 per cell]

Peak list (10 most intense, 5 to 70 degrees two-theta, most intense first)
d (Å)  Rel. int.  h k l
2.098  100  0 6 4
9.961  64  0 2 0
2.108  64  1 5 1
1.848  49  1 1 4
2.180  44  1 3 2
1.992  42  0 10 0
1.900  34  1 7 0
2.379  32  0 4 4
2.531  30  1 1 0
1.987  29  0 4 5

***

Entry 2:
The following is a simulated powder X-ray diffraction pattern of NaAc2O4. It was derived from the GGA-PBE geometry in Alexandria, using a wavelength of 1.5418 Å.

Crystal structure
Cell: 14.674 4.049 10.937 Å, 90.00 122.35 90.00°
Space group C2/m (No. 12)
Symmetry-distinct sites (fractional):
Na (0.142, 0.000, 0.203) [4 per cell]
Ac (0.115, 0.500, 0.449) [4 per cell]
Ac (0.164, 0.000, 0.813) [4 per cell]
O (0.036, 0.000, 0.293) [4 per cell]
O (0.085, 0.500, 0.649) [4 per cell]
O (0.212, 0.000, 0.066) [4 per cell]
O (0.247, 0.000, 0.629) [4 per cell]

Peak list (10 most intense, 5 to 70 degrees two-theta, most intense first)
d (Å)  Rel. int.  h k l
3.361  100  1 1 1
3.011  65  2 0 2
7.244  50  2 0 -1
9.240  48  0 0 1
3.642  37  2 0 -3
3.570  35  4 0 -1
3.233  34  1 1 -2
3.112  30  3 1 -1
3.099  27  4 0 0
2.114  25  5 1 0

***

Entry 3:
The following is a simulated powder X-ray diffraction pattern of Sr3Bi2N4. It was derived from the GGA-PBE geometry in Alexandria, using a wavelength of 1.5418 Å.

Crystal structure
Cell: 11.647 12.464 5.581 Å, 90.00 99.64 90.00°
Space group C2/c (No. 15)
Symmetry-distinct sites (fractional):
Sr (0.000, 0.171, 0.250) [4 per cell]
Sr (0.110, 0.401, 0.563) [8 per cell]
Bi (0.197, 0.101, 0.844) [8 per cell]
N (0.111, 0.391, 0.078) [8 per cell]
N (0.172, 0.072, 0.443) [8 per cell]

Peak list (10 most intense, 5 to 70 degrees two-theta, most intense first)
d (Å)  Rel. int.  h k l
3.167  100  2 2 1
2.715  69  1 1 -2
3.300  53  3 1 -1
2.641  49  3 3 -1
3.116  43  0 4 0
2.258  35  5 1 0
5.741  27  2 0 0
1.689  21  5 5 0
1.857  21  1 5 -2
4.125  21  0 2 1

***

Entry 4:
The following is a simulated powder X-ray diffraction pattern of AcNd5SmEr2. It was derived from the GGA-PBE geometry in Alexandria, using a wavelength of 1.5418 Å.

Crystal structure
Cell: 5.601 24.366 9.546 Å, 90.00 90.00 90.00°
Space group Cmc2_1 (No. 36)
Symmetry-distinct sites (fractional):
Ac (0.000, 0.103, 0.000) [4 per cell]
Nd (0.000, 0.025, 0.672) [4 per cell]
Nd (0.000, 0.105, 0.393) [4 per cell]
Nd (0.000, 0.189, 0.700) [4 per cell]
Nd (0.000, 0.241, 0.068) [4 per cell]
Nd (0.000, 0.492, 0.890) [4 per cell]
Sm (0.000, 0.264, 0.392) [4 per cell]
Er (0.000, 0.327, 0.754) [4 per cell]
Er (0.000, 0.388, 0.136) [4 per cell]

Peak list (10 most intense, 5 to 70 degrees two-theta, most intense first)
d (Å)  Rel. int.  h k l
2.824  100  1 7 1
2.913  92  1 5 2
2.800  70  2 0 0
2.749  64  1 1 3
2.074  35  2 6 2
3.316  28  1 3 2
3.093  27  0 6 2
3.079  26  0 2 3
1.621  22  3 7 1
1.637  18  3 5 2

***

Entry 5:
The following is a simulated powder X-ray diffraction pattern of Dy2Er4Tl3H2. It was derived from the GGA-PBE geometry in Alexandria, using a wavelength of 1.5418 Å.

Crystal structure
Cell: 4.711 4.711 24.311 Å, 90.00 90.00 90.00°
Space group I4/mmm (No. 139)
Symmetry-distinct sites (fractional):
Dy (0.000, 0.000, 0.197) [4 per cell]
Er (0.000, 0.500, 0.084) [8 per cell]
Tl (0.000, 0.000, 0.326) [4 per cell]
Tl (0.000, 0.000, 0.500) [2 per cell]
H (0.000, 0.000, 0.101) [4 per cell]

Peak list (10 most intense, 5 to 70 degrees two-theta, most intense first)
d (Å)  Rel. int.  h k l
2.573  100  1 1 6
2.355  52  2 0 0
3.213  35  1 1 2
1.398  35  3 1 6
1.666  18  2 2 0
2.795  17  1 0 7
4.625  17  1 0 1
2.921  17  1 1 4
1.536  11  2 0 12
1.692  11  2 0 10

***

Entry 6:
The following is a simulated powder X-ray diffraction pattern of ThMnZn. It was derived from the GGA-PBE geometry in Alexandria, using a wavelength of 1.5418 Å.

Crystal structure
Cell: 4.4711 4.4711 3.7234 Å, 90.00 90.00 120.00°
Space group P-6m2 (No. 187)
Symmetry-distinct sites (fractional):
Th (0.0000, 0.0000, 0.0000) [1 per cell]
Mn (0.3333, 0.6667, 0.5000) [1 per cell]
Zn (0.6667, 0.3333, 0.5000) [1 per cell]

Peak list (10 most intense, 5 to 70 degrees two-theta, most intense first)
d (Å)  Rel. int.  h k l
2.684  100  1 0 1
2.236  45  1 1 0
3.872  38  1 0 0
1.718  27  2 0 1
1.362  25  2 1 1
1.431  21  1 1 2
1.862  8  0 0 2
1.678  8  1 0 2
1.936  6  2 0 0
1.463  5  2 1 0